Entry 1:
Diffraction record for Zr3SiMo8. The PXRD pattern is simulated, not measured: it uses DFT lattice parameters and positions (PBE) and λ = 1.5418 Å (Cu Kα).

Peak list (12 most intense, 5 to 70 degrees two-theta, by angle)
(1 0 0), d = 4.646 Å, intensity 156
(0 1 1), d = 4.087 Å, intensity 131
(1 1 0), d = 2.682 Å, intensity 204
(1 0 3), d = 2.439 Å, intensity 582
(1 1 2), d = 2.276 Å, intensity 1000
(0 2 1), d = 2.243 Å, intensity 939
(0 0 4), d = 2.149 Å, intensity 236
(2 0 2), d = 2.044 Å, intensity 274
(0 1 4), d = 1.951 Å, intensity 121
(1 2 3), d = 1.497 Å, intensity 210
(3 0 2), d = 1.457 Å, intensity 235
(2 0 5), d = 1.382 Å, intensity 296

Atomic structure:
```
data_Zr3SiMo8
_chemical_formula_sum 'Zr3 Si1 Mo8'
_cell_length_a 5.3647
_cell_length_b 5.3647
_cell_length_c 8.5969
_cell_angle_alpha 90.00
_cell_angle_beta 90.00
_cell_angle_gamma 120.00
_space_group_name_H-M_alt 'P 3 m 1'
_space_group_IT_number 156
loop_
_space_group_symop_operation_xyz
'x,y,z'
'-y,x-y,z'
'-x+y,-x,z'
'-y,-x,z'
'-x+y,y,z'
'x,x-y,z'
loop_
_atom_site_label
_atom_site_type_symbol
_atom_site_fract_x
_atom_site_fract_y
_atom_site_fract_z
Zr1 Zr 0.0000 0.0000 0.0000
Zr2 Zr 0.0000 0.0000 0.3824
Zr3 Zr 0.3333 0.6667 0.8753
Si1 Si 0.3333 0.6667 0.5031
Mo1 Mo 0.0082 0.5041 0.1926
Mo2 Mo 0.3255 0.1628 0.6834
Mo3 Mo 0.6667 0.3333 0.4363
Mo4 Mo 0.6667 0.3333 0.9351
```

Entry 2:
Diffraction record for TaPbBr. The PXRD pattern is simulated, not measured: it uses DFT lattice parameters and positions (PBE) and λ = 1.5418 Å (Cu Kα).

Peak list (9 most intense, 5 to 70 degrees two-theta, by angle)
(1 1 1), d = 3.919 Å, intensity 84
(2 0 0), d = 3.394 Å, intensity 519
(2 2 0), d = 2.400 Å, intensity 1000
(3 1 1), d = 2.046 Å, intensity 42
(2 2 2), d = 1.959 Å, intensity 157
(4 0 0), d = 1.697 Å, intensity 176
(3 3 1), d = 1.557 Å, intensity 18
(4 2 0), d = 1.518 Å, intensity 211
(4 2 2), d = 1.385 Å, intensity 362

Atomic structure:
```
data_TaPbBr
_chemical_formula_sum 'Ta4 Pb4 Br4'
_cell_length_a 6.7874
_cell_length_b 6.7874
_cell_length_c 6.7874
_cell_angle_alpha 90.00
_cell_angle_beta 90.00
_cell_angle_gamma 90.00
_space_group_name_H-M_alt 'F -4 3 m'
_space_group_IT_number 216
_space_group_name_Hall 'F -4 2 3'
loop_
_atom_site_label
_atom_site_type_symbol
_atom_site_fract_x
_atom_site_fract_y
_atom_site_fract_z
Ta1 Ta 0.0000 0.0000 0.0000
Pb1 Pb 0.0000 0.0000 0.5000
Br1 Br 0.2500 0.2500 0.7500
```

Entry 3:
Diffraction record for Hf3Sb7Pd. The PXRD pattern is simulated, not measured: it uses DFT lattice parameters and positions (PBE) and λ = 1.5418 Å (Cu Kα).

Peak list (12 most intense, 5 to 70 degrees two-theta, by angle)
(2 1 0), d = 3.630 Å, intensity 145
(6 0 1), d = 2.876 Å, intensity 151
(3 1 3), d = 2.739 Å, intensity 330
(1 1 4), d = 2.677 Å, intensity 1000
(5 0 4), d = 2.547 Å, intensity 176
(5 1 2), d = 2.484 Å, intensity 105
(6 1 0), d = 2.362 Å, intensity 123
(6 1 1), d = 2.332 Å, intensity 203
(5 1 3), d = 2.325 Å, intensity 398
(7 0 3), d = 2.239 Å, intensity 130
(0 2 0), d = 1.992 Å, intensity 312
(6 1 9), d = 1.348 Å, intensity 100

Atomic structure:
```
data_Hf3Sb7Pd
_chemical_formula_sum 'Hf12 Sb28 Pd4'
_cell_length_a 17.5939
_cell_length_b 3.9850
_cell_length_c 14.7712
_cell_angle_alpha 90.00
_cell_angle_beta 90.00
_cell_angle_gamma 90.00
_space_group_name_H-M_alt 'P n m a'
_space_group_IT_number 62
loop_
_space_group_symop_operation_xyz
'x,y,z'
'-x,-y,-z'
'-x+1/2,-y,z+1/2'
'x+1/2,y,-z+1/2'
'x+1/2,-y+1/2,-z+1/2'
'-x+1/2,y+1/2,z+1/2'
'-x,y+1/2,-z'
'x,-y+1/2,z'
loop_
_atom_site_label
_atom_site_type_symbol
_atom_site_fract_x
_atom_site_fract_y
_atom_site_fract_z
Hf1 Hf 0.1079 0.2500 0.0884
Hf2 Hf 0.1308 0.2500 0.5300
Hf3 Hf 0.1530 0.2500 0.8111
Sb1 Sb 0.0195 0.7500 0.1948
Sb2 Sb 0.0366 0.7500 0.4303
Sb3 Sb 0.0719 0.7500 0.9404
Sb4 Sb 0.0949 0.7500 0.6762
Sb5 Sb 0.2176 0.2500 0.3214
Sb6 Sb 0.2282 0.7500 0.1479
Sb7 Sb 0.2490 0.7500 0.4803
Pd1 Pd 0.0655 0.2500 0.3096
```

Entry 4:
Diffraction record for FeAsRh. The PXRD pattern is simulated, not measured: it uses DFT lattice parameters and positions (PBE) and λ = 1.5418 Å (Cu Kα).

Peak list (12 most intense, 5 to 70 degrees two-theta, by angle)
(0 3 1), d = 3.723 Å, intensity 97
(0 0 2), d = 3.484 Å, intensity 118
(1 0 0), d = 2.855 Å, intensity 340
(1 3 1), d = 2.265 Å, intensity 1000
(1 0 2), d = 2.208 Å, intensity 552
(0 6 0), d = 2.202 Å, intensity 617
(0 3 3), d = 2.054 Å, intensity 976
(1 6 0), d = 1.744 Å, intensity 162
(1 3 3), d = 1.667 Å, intensity 285
(1 6 2), d = 1.559 Å, intensity 353
(1 0 4), d = 1.487 Å, intensity 99
(2 0 0), d = 1.427 Å, intensity 148

Atomic structure:
```
data_FeAsRh
_chemical_formula_sum 'Fe6 As6 Rh6'
_cell_length_a 2.8547
_cell_length_b 13.2121
_cell_length_c 6.9677
_cell_angle_alpha 90.00
_cell_angle_beta 90.00
_cell_angle_gamma 90.00
_space_group_name_H-M_alt 'A m m 2'
_space_group_IT_number 38
loop_
_space_group_symop_operation_xyz
'x,y,z'
'-x,-y,z'
'-x,y,z'
'x,-y,z'
'x,y+1/2,z+1/2'
'-x,-y+1/2,z+1/2'
'-x,y+1/2,z+1/2'
'x,-y+1/2,z+1/2'
loop_
_atom_site_label
_atom_site_type_symbol
_atom_site_fract_x
_atom_site_fract_y
_atom_site_fract_z
Fe1 Fe 0.0000 0.0000 0.0000
Fe2 Fe 0.0000 0.1664 0.4983
As1 As 0.5000 0.0000 0.6885
As2 As 0.5000 0.1653 0.1842
Rh1 Rh 0.5000 0.0000 0.3438
Rh2 Rh 0.5000 0.1679 0.8393
```

Entry 5:
Diffraction record for CsB6Cl6. The PXRD pattern is simulated, not measured: it uses DFT lattice parameters and positions (PBE) and λ = 1.5418 Å (Cu Kα).

Peak list (12 most intense, 5 to 70 degrees two-theta, by angle)
(0 0 6), d = 7.725 Å, intensity 245
(0 1 5), d = 6.240 Å, intensity 794
(1 0 7), d = 5.209 Å, intensity 499
(1 1 0), d = 4.872 Å, intensity 321
(0 2 7), d = 3.558 Å, intensity 268
(2 1 1), d = 3.182 Å, intensity 224
(1 2 2), d = 3.160 Å, intensity 279
(2 -1 12), d = 3.027 Å, intensity 1000
(1 2 5), d = 3.016 Å, intensity 535
(2 1 7), d = 2.874 Å, intensity 487
(3 0 0), d = 2.813 Å, intensity 281
(4 -2 12), d = 2.060 Å, intensity 216

Atomic structure:
```
data_CsB6Cl6
_chemical_formula_sum 'Cs12 B72 Cl72'
_cell_length_a 9.7445
_cell_length_b 9.7445
_cell_length_c 46.3478
_cell_angle_alpha 90.00
_cell_angle_beta 90.00
_cell_angle_gamma 120.00
_space_group_name_H-M_alt 'R -3'
_space_group_IT_number 148
_space_group_name_Hall '-R 3'
loop_
_atom_site_label
_atom_site_type_symbol
_atom_site_fract_x
_atom_site_fract_y
_atom_site_fract_z
Cs1 Cs 0.0000 0.0000 0.1268
Cs2 Cs 0.0000 0.0000 0.2916
B1 B 0.0188 0.1146 0.5294
B2 B 0.0282 0.9107 0.9708
B3 B 0.0307 0.1843 0.4930
B4 B 0.0452 0.8554 0.0070
Cl1 Cl 0.0176 0.7302 0.1816
Cl2 Cl 0.0357 0.2778 0.6517
Cl3 Cl 0.0378 0.2360 0.5599
Cl4 Cl 0.0584 0.8157 0.9401
```

Entry 6:
Diffraction record for CaCo4S8. The PXRD pattern is simulated, not measured: it uses DFT lattice parameters and positions (PBE) and λ = 1.5418 Å (Cu Kα).

Peak list (12 most intense, 5 to 70 degrees two-theta, by angle)
(1 0 1), d = 5.653 Å, intensity 554
(0 0 3), d = 5.519 Å, intensity 429
(0 2 1), d = 2.959 Å, intensity 149
(1 1 3), d = 2.939 Å, intensity 53
(0 2 4), d = 2.433 Å, intensity 1000
(0 3 3), d = 1.884 Å, intensity 55
(1 2 5), d = 1.874 Å, intensity 104
(0 2 7), d = 1.859 Å, intensity 89
(2 2 0), d = 1.736 Å, intensity 291
(2 0 8), d = 1.705 Å, intensity 286
(2 2 3), d = 1.656 Å, intensity 79
(4 0 4), d = 1.413 Å, intensity 128

Atomic structure:
```
data_CaCo4S8
_chemical_formula_sum 'Ca3 Co12 S24'
_cell_length_a 6.9450
_cell_length_b 6.9450
_cell_length_c 16.5585
_cell_angle_alpha 90.00
_cell_angle_beta 90.00
_cell_angle_gamma 120.00
_space_group_name_H-M_alt 'R -3 m'
_space_group_IT_number 166
_space_group_name_Hall '-R 3 2"'
loop_
_atom_site_label
_atom_site_type_symbol
_atom_site_fract_x
_atom_site_fract_y
_atom_site_fract_z
Ca1 Ca 0.0000 0.0000 0.0000
Co1 Co 0.0000 0.0000 0.5000
Co2 Co 0.0000 0.5000 0.0000
S1 S 0.0000 0.0000 0.2667
S2 S 0.0512 0.5256 0.2540
```

Entry 7:
Diffraction record for UAl4. The PXRD pattern is simulated, not measured: it uses DFT lattice parameters and positions (PBE) and λ = 1.5418 Å (Cu Kα).

Peak list (12 most intense, 5 to 70 degrees two-theta, by angle)
(0 1 1), d = 5.688 Å, intensity 590
(1 0 1), d = 4.149 Å, intensity 428
(0 1 3), d = 3.706 Å, intensity 447
(0 0 4), d = 3.454 Å, intensity 260
(1 1 2), d = 3.170 Å, intensity 1000
(1 2 1), d = 2.494 Å, intensity 613
(1 0 5), d = 2.333 Å, intensity 447
(0 2 4), d = 2.316 Å, intensity 358
(1 2 3), d = 2.221 Å, intensity 180
(2 0 0), d = 2.175 Å, intensity 209
(1 1 6), d = 1.935 Å, intensity 165
(2 2 4), d = 1.585 Å, intensity 225

Atomic structure:
```
data_UAl4
_chemical_formula_sum 'U4 Al16'
_cell_length_a 4.3500
_cell_length_b 6.2416
_cell_length_c 13.8176
_cell_angle_alpha 90.00
_cell_angle_beta 90.00
_cell_angle_gamma 90.00
_space_group_name_H-M_alt 'I m m a'
_space_group_IT_number 74
_space_group_name_Hall '-I 2b 2'
loop_
_atom_site_label
_atom_site_type_symbol
_atom_site_fract_x
_atom_site_fract_y
_atom_site_fract_z
U1 U 0.0000 0.2500 0.1137
Al1 Al 0.0000 0.0000 0.5000
Al2 Al 0.0000 0.0277 0.6979
Al3 Al 0.0000 0.2500 0.8908
```

Entry 8:
Diffraction record for Mn2B. The PXRD pattern is simulated, not measured: it uses DFT lattice parameters and positions (PBE) and λ = 1.5418 Å (Cu Kα).

Peak list (8 most intense, 5 to 70 degrees two-theta, by angle)
(1 1 0), d = 3.582 Å, intensity 110
(2 0 0), d = 2.533 Å, intensity 106
(0 0 2), d = 2.052 Å, intensity 208
(2 1 1), d = 1.984 Å, intensity 1000
(2 2 0), d = 1.791 Å, intensity 16
(1 1 2), d = 1.781 Å, intensity 76
(3 1 0), d = 1.602 Å, intensity 145
(2 0 2), d = 1.594 Å, intensity 88

Atomic structure:
```
data_Mn2B
_chemical_formula_sum 'Mn8 B4'
_cell_length_a 5.0664
_cell_length_b 5.0664
_cell_length_c 4.1039
_cell_angle_alpha 90.00
_cell_angle_beta 90.00
_cell_angle_gamma 90.00
_space_group_name_H-M_alt 'I 4/m c m'
_space_group_IT_number 140
_space_group_name_Hall '-I 4 2c'
loop_
_atom_site_label
_atom_site_type_symbol
_atom_site_fract_x
_atom_site_fract_y
_atom_site_fract_z
Mn1 Mn 0.1586 0.3414 0.0000
B1 B 0.0000 0.0000 0.2500
```